Theoretical PXRD pattern of Ga2Ag2I7 for Cu Kα, 1.54184 Å, from a PBE-relaxed structure.
Intensities are scaled so that the largest is 100.

Most intense lines, 10 to 90 degrees two-theta, low angle first:
17.28°, rel. 100; 21.20°, rel. 38; 23.27°, rel. 35; 24.75°, rel. 63; 29.80°, rel. 28; 30.70°, rel. 29; 40.57°, rel. 36; 41.49°, rel. 32

Crystal structure
```
Ga2Ag2I7
1.0
7.1806 0.0000 0.0000
0.0000 19.8454 0.0000
-2.4515 0.0000 7.1679
Ga Ag I
4 4 14
Cartesian
0.2469 1.9971 2.4464
-0.9789 7.9256 6.0304
5.7080 11.9198 1.1375
4.4822 17.8483 4.7215
1.4809 11.8452 4.2387
2.7067 17.9228 0.6547
2.0224 1.9225 6.5132
3.2482 8.0002 2.9292
-1.2258 0.0000 3.5839
0.0000 9.9227 0.0000
0.0506 13.5828 2.5302
-1.1751 16.1852 6.1141
2.0559 0.8642 0.7654
0.8302 9.0584 4.3493
1.5232 3.4927 4.2290
2.7490 6.4300 0.6451
1.9801 13.4154 6.5228
3.2058 16.3527 2.9389
3.8989 10.7869 2.8185
2.6732 18.9811 6.4025
5.9042 3.6601 1.0538
4.6785 6.2625 4.6377
```

Theoretical PXRD pattern of SiNi3W2 for Cu Kα, 1.54184 Å, from a PBE-relaxed structure.
Intensities are scaled so that the largest is 100.

Most intense lines, 10 to 90 degrees two-theta, low angle first:
23.37°, rel. 23; 37.67°, rel. 44; 38.08°, rel. 71; 41.80°, rel. 100; 41.93°, rel. 43; 44.80°, rel. 41; 45.16°, rel. 96; 45.60°, rel. 41

Crystal structure
```
SiNi3W2
1.0
7.6129 0.0000 0.0000
0.0000 2.3882 4.0795
0.0000 -2.3882 4.0795
Si Ni W
2 6 4
Cartesian
0.0000 -1.2109 4.0795
0.0000 1.2109 4.0795
0.0000 0.0000 6.2358
1.8295 0.0000 4.6817
3.8064 0.0000 3.3449
3.8064 -1.2112 5.4193
3.8064 1.2112 5.4193
5.7834 0.0000 4.6817
1.4551 0.0000 1.9929
2.4141 0.0000 7.4601
5.1988 0.0000 7.4601
6.1578 0.0000 1.9929
```

Theoretical PXRD pattern of AcUPa2S8 for Cu Kα, 1.54184 Å, from a PBE-relaxed structure.
Intensities are scaled so that the largest is 100.

Most intense lines, 10 to 90 degrees two-theta, low angle first:
19.57°, rel. 100; 19.94°, rel. 91; 25.22°, rel. 71; 25.35°, rel. 93; 37.80°, rel. 38; 38.08°, rel. 50; 38.21°, rel. 35; 38.48°, rel. 43

Crystal structure
```
AcUPa2S8
1.0
6.3028 0.0000 0.0000
0.0000 8.4639 0.0000
-0.1187 0.0000 6.4096
Ac U Pa S
1 1 2 8
Cartesian
0.0000 0.0000 0.0000
0.0000 4.2319 0.0000
3.0921 2.1566 3.2048
3.0921 6.3073 3.2048
1.5118 2.2800 1.0712
1.5118 6.1839 1.0712
1.6906 4.2319 4.2508
1.7154 0.0000 4.0732
4.4687 0.0000 2.3364
4.4936 4.2319 2.1588
4.6723 2.2800 5.3384
4.6723 6.1839 5.3384
```

Theoretical PXRD pattern of Na5B6C4 for Cu Kα, 1.54184 Å, from a PBE-relaxed structure.
Intensities are scaled so that the largest is 100.

Most intense lines, 10 to 90 degrees two-theta, low angle first:
36.46°, rel. 18; 41.97°, rel. 51; 42.42°, rel. 100; 42.61°, rel. 39; 64.96°, rel. 17; 77.86°, rel. 13; 80.84°, rel. 17; 81.31°, rel. 11

Crystal structure
```
Na5B6C4
1.0
1.4165 -12.4897 0.0000
1.4165 12.4897 0.0000
0.0000 0.0000 8.4875
Na B C
10 12 8
Cartesian
0.0000 0.0000 0.0000
0.0000 0.0000 4.2437
1.4165 7.4912 4.2511
1.4165 7.4912 8.4801
1.4165 2.5009 0.0260
1.4165 2.5009 4.2177
1.4165 -2.5009 4.2698
1.4165 -2.5009 8.4614
1.4165 -7.4912 0.0074
1.4165 -7.4912 4.2364
1.4165 10.9645 6.3656
1.4165 9.1765 6.3656
1.4165 9.1525 2.1219
1.4165 5.7550 6.3656
1.4165 4.3183 2.1219
1.4165 0.9125 6.3656
1.4165 -0.9125 2.1219
1.4165 -4.3183 6.3656
1.4165 -5.7550 2.1219
1.4165 -9.1525 6.3656
1.4165 -9.1765 2.1219
1.4165 -10.9645 2.1219
1.4165 10.7922 2.1219
1.4165 5.9276 2.1219
1.4165 4.1287 6.3656
1.4165 0.7362 2.1219
1.4165 -0.7362 6.3656
1.4165 -4.1287 2.1219
1.4165 -5.9276 6.3656
1.4165 -10.7922 6.3656
```

Theoretical PXRD pattern of Nd4Ho5Zn for Cu Kα, 1.54184 Å, from a PBE-relaxed structure.
Intensities are scaled so that the largest is 100.

Most intense lines, 10 to 90 degrees two-theta, low angle first:
28.98°, rel. 19; 31.10°, rel. 100; 33.59°, rel. 19; 35.35°, rel. 47; 49.57°, rel. 18; 50.85°, rel. 17; 59.78°, rel. 17; 60.82°, rel. 30

Crystal structure
```
Nd4Ho5Zn
1.0
3.5913 0.0000 0.0000
0.0000 3.5913 0.0000
0.0000 0.0000 23.9978
Nd Ho Zn
4 5 1
Cartesian
0.0000 0.0000 2.5420
0.0000 0.0000 7.6548
0.0000 0.0000 16.3431
0.0000 0.0000 21.4558
1.7957 1.7957 0.0000
1.7957 1.7957 5.1107
1.7957 1.7957 10.2604
1.7957 1.7957 13.7374
1.7957 1.7957 18.8871
0.0000 0.0000 11.9989
```

Theoretical PXRD pattern of HfMg6Cu for Cu Kα, 1.54184 Å, from a PBE-relaxed structure.
Intensities are scaled so that the largest is 100.

Most intense lines, 10 to 90 degrees two-theta, low angle first:
15.54°, rel. 79; 16.87°, rel. 38; 18.11°, rel. 54; 23.95°, rel. 51; 34.12°, rel. 48; 36.46°, rel. 69; 36.70°, rel. 41; 38.90°, rel. 100

Crystal structure
```
HfMg6Cu
1.0
4.8973 0.0000 0.0000
0.0000 2.9604 5.7030
0.0000 -2.9604 5.7030
Hf Mg Cu
1 6 1
Cartesian
0.0000 0.0000 0.0000
0.0000 -1.4830 8.5365
0.0000 1.4830 8.5365
2.4487 -1.4935 4.5433
2.4487 0.0000 1.7289
2.4487 0.0000 7.1104
2.4487 1.4935 4.5433
0.0000 0.0000 5.3377
```

Theoretical PXRD pattern of Dy3Si6Pt20 for Cu Kα, 1.54184 Å, from a PBE-relaxed structure.
Intensities are scaled so that the largest is 100.

Most intense lines, 10 to 90 degrees two-theta, low angle first:
32.37°, rel. 21; 35.56°, rel. 23; 37.80°, rel. 100; 41.29°, rel. 22; 43.28°, rel. 32; 63.86°, rel. 26; 65.34°, rel. 15; 75.28°, rel. 17

Crystal structure
```
Dy3Si6Pt20
1.0
0.0000 6.1839 6.1839
6.1839 0.0000 6.1839
6.1839 6.1839 0.0000
Dy Si Pt
3 6 20
Cartesian
0.0000 0.0000 0.0000
3.0920 3.0920 3.0920
9.2759 9.2759 9.2759
6.1839 6.1839 3.3067
6.1839 3.3067 6.1839
9.0612 6.1839 6.1839
3.3067 6.1839 6.1839
6.1839 9.0612 6.1839
6.1839 6.1839 9.0612
2.1345 2.1345 0.0000
4.0494 4.0494 0.0000
2.1345 0.0000 2.1345
6.1839 4.0494 2.1345
4.0494 0.0000 4.0494
6.1839 2.1345 4.0494
7.6251 4.7427 4.7427
0.0000 2.1345 2.1345
4.0494 6.1839 2.1345
4.0494 2.1345 6.1839
4.7427 4.7427 4.7427
7.6251 7.6251 4.7427
7.6251 4.7427 7.6251
4.7427 7.6251 4.7427
4.7427 4.7427 7.6251
7.6251 7.6251 7.6251
0.0000 4.0494 4.0494
2.1345 6.1839 4.0494
2.1345 4.0494 6.1839
4.7427 7.6251 7.6251
```

Theoretical PXRD pattern of NaPaSiO5 for Cu Kα, 1.54184 Å, from a PBE-relaxed structure.
Intensities are scaled so that the largest is 100.

Most intense lines, 10 to 90 degrees two-theta, low angle first:
16.52°, rel. 100; 19.54°, rel. 32; 24.52°, rel. 69; 26.82°, rel. 33; 31.68°, rel. 31; 32.48°, rel. 32; 38.76°, rel. 17; 47.30°, rel. 20

Crystal structure
```
NaPaSiO5
1.0
3.6795 -4.5441 0.0000
3.6795 4.5441 0.0000
-3.4239 0.0000 7.2104
Na Pa Si O
2 2 2 10
Cartesian
1.1115 3.0566 5.4078
2.8235 -3.0566 1.8026
3.6795 0.0000 0.0000
1.9675 0.0000 3.6052
2.8235 2.9760 1.8026
1.1115 -2.9760 5.4078
-1.7081 0.5574 6.3903
1.8153 2.0146 2.6954
0.0039 -0.5574 2.7851
3.8317 2.0146 0.9098
1.1115 0.7573 5.4078
2.8235 -0.7573 1.8026
0.1034 -2.0146 6.3006
3.9312 0.5574 4.4252
2.1197 -2.0146 4.5150
5.6432 -0.5574 0.8200
```